# Fe5IrPt2
Computed powder XRD pattern, Cu Ka. Input: DFT lattice parameters and positions (PBE).
Peak positions follow from Bragg's law for the DFT cell and can differ from measured ones.

Cell lengths 5.310, 5.310, 5.310 Å; angles 119.20, 119.20, 91.39 degrees
Sites, in units of the cell vectors:
Fe: 0.000 0.000 0.000
Fe: 0.000 0.000 0.500
Fe: 0.000 0.500 0.000
Fe: 0.500 0.000 0.000
Fe: 0.500 0.500 0.500
Ir: 0.500 0.500 0.000
Pt: 0.000 0.500 0.500
Pt: 0.500 0.000 0.500

The 8 most intense peaks (15° ≤ 2θ ≤ 90°), in order of rising 2θ:
2theta  I_rel
20.41  13
24.00  21
33.35  19
41.50  100
47.88  33
49.13  15
71.03  20
84.82  25